Simulated powder diffraction line list of TeIrF for copper Kα, from the GGA-PBE geometry in Alexandria.

Structural model:
```
TeIrF
1.0
3.145 0.000 0.000
0.000 3.176 0.000
0.000 0.000 5.624
Te Ir F
1 1 1
Cartesian
0.000 0.000 0.000
1.572 1.588 1.487
1.572 1.588 3.550
```

Principal peaks in the range 10 to 90 degrees two-theta, in order of falling intensity:
2theta  d [Å]  intensity
15.76  5.624  100
40.36  2.235  56
32.37  2.766  50
32.62  2.745  49
42.96  2.106  41
43.16  2.096  41
43.58  2.077  32
64.93  1.436  18
75.03  1.266  16
75.46  1.260  16

---

Simulated powder diffraction line list of Mg5Cr for copper Kα, from the GGA-PBE geometry in Alexandria.

Structural model:
```
Mg5Cr
1.0
3.364 0.000 0.000
0.000 3.364 0.000
0.000 0.000 11.255
Mg Cr
5 1
Cartesian
0.000 0.000 0.000
0.000 0.000 4.021
0.000 0.000 7.233
1.682 1.682 2.045
1.682 1.682 9.210
1.682 1.682 5.627
```

Principal peaks in the range 10 to 90 degrees two-theta, in order of falling intensity:
2theta  d [Å]  intensity
35.86  2.504  100
37.83  2.378  46
67.03  1.396  28
54.57  1.682  15
63.12  1.473  13
41.86  2.158  9
15.75  5.627  8
48.53  1.876  8
76.00  1.252  7
27.68  3.223  5

---

Simulated powder diffraction line list of Dy4Tl2In for copper Kα, from the GGA-PBE geometry in Alexandria.

Structural model:
```
Dy4Tl2In
1.0
2.630 1.518 8.629
-2.630 1.518 8.629
0.000 -3.036 8.629
Dy Tl In
4 2 1
Cartesian
0.000 0.000 3.133
0.000 0.000 9.664
0.000 0.000 16.224
0.000 0.000 22.754
0.000 0.000 6.553
0.000 0.000 19.335
0.000 0.000 12.944
```

Principal peaks in the range 10 to 90 degrees two-theta, in order of falling intensity:
2theta  d [Å]  intensity
34.10  2.630  100
33.98  2.638  99
60.99  1.519  56
48.91  1.862  36
20.65  4.302  27
60.75  1.525  17
81.86  1.177  16
81.67  1.179  15
71.80  1.315  12
40.14  2.247  12

---

Simulated powder diffraction line list of Ac2PmY3 for copper Kα, from the GGA-PBE geometry in Alexandria.

Structural model:
```
Ac2PmY3
1.0
8.204 -3.799 0.000
8.204 3.799 0.000
-1.715 0.000 7.302
Ac Pm Y
4 2 6
Cartesian
2.830 0.015 0.666
1.973 -0.015 4.317
12.721 0.015 2.985
11.863 -0.015 6.636
7.775 2.180 1.825
6.918 -2.180 5.476
6.918 2.198 5.476
5.529 0.006 3.223
4.671 -0.006 6.874
10.022 0.006 0.428
9.165 -0.006 4.079
7.775 -2.198 1.825
```

Principal peaks in the range 10 to 90 degrees two-theta, in order of falling intensity:
2theta  d [Å]  intensity
29.13  3.066  100
34.06  2.632  63
25.97  3.431  53
30.35  2.945  52
28.81  3.099  46
53.36  1.717  27
32.53  2.752  26
20.37  4.360  26
23.42  3.799  24
57.04  1.615  23

---

Simulated powder diffraction line list of Ac3Sb4Pt2 for copper Kα, from the GGA-PBE geometry in Alexandria.

Structural model:
```
Ac3Sb4Pt2
1.0
6.265 -2.413 0.000
6.265 2.413 0.000
-2.672 0.000 8.951
Ac Sb Pt
3 4 2
Cartesian
0.000 0.000 0.000
3.419 0.000 2.868
6.438 0.000 6.083
-0.097 0.000 3.587
1.315 0.000 8.157
8.542 0.000 0.794
9.954 0.000 5.364
3.334 0.000 6.334
6.523 0.000 2.617
```

Principal peaks in the range 10 to 90 degrees two-theta, in order of falling intensity:
2theta  d [Å]  intensity
29.69  3.009  100
37.04  2.427  60
28.98  3.081  55
28.53  3.128  52
37.26  2.413  44
29.95  2.984  31
40.70  2.217  29
47.59  1.911  26
56.36  1.633  23
57.44  1.604  20

---

Simulated powder diffraction line list of Sr5SnSb2 for copper Kα, from the GGA-PBE geometry in Alexandria.

Structural model:
```
Sr5SnSb2
1.0
7.761 0.000 0.000
0.000 7.761 0.000
0.000 0.000 9.486
Sr Sn Sb
10 2 4
Cartesian
0.000 0.000 0.000
1.859 1.859 6.882
1.859 5.903 6.882
2.022 2.022 2.139
2.022 5.739 2.139
3.881 3.881 4.743
5.739 2.022 2.139
5.739 5.739 2.139
5.903 1.859 6.882
5.903 5.903 6.882
0.000 0.000 4.267
3.881 3.881 9.010
0.000 3.881 4.531
0.000 3.881 9.274
3.881 0.000 4.531
3.881 0.000 9.274
```

Principal peaks in the range 10 to 90 degrees two-theta, in order of falling intensity:
2theta  d [Å]  intensity
29.75  3.003  100
32.63  2.744  40
56.46  1.630  31
50.89  1.794  21
46.82  1.940  14
37.94  2.372  13
61.78  1.502  11
63.54  1.464  9
82.54  1.169  9
76.30  1.248  6